[1]
For Mn2In3Br7, a DFT-relaxed cell (GGA-PBE, Alexandria) gives the calculated XRD peak list in this record (λ = 1.5418 Å (Cu Kα)).
Peak positions follow from Bragg's law for the DFT cell and can differ from measured ones.

The 6 most intense peaks (2θ = 10–90°), sorted by position:
2θ = 23.52°, intensity 46, hkl 1 1 0
2θ = 27.07°, intensity 39, hkl 1 1 4
2θ = 30.97°, intensity 100, hkl 1 1 6
2θ = 33.52°, intensity 98, hkl 2 0 0
2θ = 48.03°, intensity 47, hkl 2 0 10
2θ = 48.14°, intensity 34, hkl 2 2 0

Structural model:
Lattice parameters (Å, degrees): 5.346 5.346 26.850 90.00 90.00 90.00
Space group I4/mmm (No. 139)
Inequivalent atoms, fractional coordinates:
Mn 0.000 0.000 0.102 (multiplicity 4)
In 0.000 0.000 0.320 (multiplicity 4)
In 0.000 0.000 0.500 (multiplicity 2)
Br 0.000 0.000 0.000 (multiplicity 2)
Br 0.000 0.000 0.198 (multiplicity 4)
Br 0.000 0.500 0.097 (multiplicity 8)

***

[2]
For CoHgC4S4N4, a DFT-relaxed cell (GGA-PBE, Alexandria) gives the calculated XRD peak list in this record (λ = 1.5418 Å (Cu Kα)).
Peak positions follow from Bragg's law for the DFT cell and can differ from measured ones.

The 6 most intense peaks (2θ = 10–90°), sorted by position:
2θ = 11.24°, intensity 54, hkl 1 1 0
2θ = 15.92°, intensity 96, hkl 2 0 0
2θ = 18.51°, intensity 88, hkl 1 0 1
2θ = 24.50°, intensity 100, hkl 1 2 1
2θ = 29.36°, intensity 48, hkl 3 0 1
2θ = 42.64°, intensity 51, hkl 3 1 2

Structural model:
Lattice parameters (Å, degrees): 11.135 11.135 5.312 90.00 90.00 90.00
Space group I-4 (No. 82)
Inequivalent atoms, fractional coordinates:
Co 0.000 0.000 0.000 (multiplicity 2)
Hg 0.000 0.500 0.750 (multiplicity 2)
C 0.062 0.783 0.662 (multiplicity 8)
S 0.097 0.670 0.478 (multiplicity 8)
N 0.038 0.866 0.790 (multiplicity 8)

***

[3]
For Na4Tl2In5, a DFT-relaxed cell (GGA-PBE, Alexandria) gives the calculated XRD peak list in this record (λ = 1.5418 Å (Cu Kα)).
Peak positions follow from Bragg's law for the DFT cell and can differ from measured ones.

The 6 most intense peaks (2θ = 10–90°), sorted by position:
2θ = 26.29°, intensity 100, hkl 0 1 0
2θ = 33.44°, intensity 65, hkl 3 0 -1
2θ = 33.81°, intensity 68, hkl 1 0 -4
2θ = 34.07°, intensity 64, hkl 2 0 3
2θ = 43.32°, intensity 46, hkl 1 1 -4
2θ = 43.53°, intensity 45, hkl 2 1 3

Structural model:
Lattice parameters (Å, degrees): 8.169 3.391 10.981 90.00 93.91 90.00
Space group P2/m (No. 10)
Inequivalent atoms, fractional coordinates:
Na 0.161 0.000 0.399 (multiplicity 2)
Na 0.295 0.000 0.947 (multiplicity 2)
Tl 0.060 0.500 0.141 (multiplicity 2)
In 0.205 0.500 0.667 (multiplicity 2)
In 0.435 0.500 0.217 (multiplicity 2)
In 0.500 0.500 0.500 (multiplicity 1)

***

[4]
For Ac2Nd3Er3, a DFT-relaxed cell (GGA-PBE, Alexandria) gives the calculated XRD peak list in this record (λ = 1.5418 Å (Cu Kα)).
Peak positions follow from Bragg's law for the DFT cell and can differ from measured ones.

The 6 most intense peaks (2θ = 10–90°), sorted by position:
2θ = 28.35°, intensity 86, hkl 1 3 1
2θ = 28.74°, intensity 98, hkl 0 4 4
2θ = 30.42°, intensity 46, hkl 0 6 0
2θ = 31.50°, intensity 89, hkl 1 1 4
2θ = 31.88°, intensity 100, hkl 1 3 3
2θ = 56.58°, intensity 44, hkl 2 4 4

Structural model:
Lattice parameters (Å, degrees): 3.817 17.630 17.519 90.00 90.00 90.00
Space group Cmcm (No. 63)
Inequivalent atoms, fractional coordinates:
Ac 0.000 0.248 0.108 (multiplicity 8)
Nd 0.000 0.093 0.541 (multiplicity 8)
Nd 0.000 0.113 0.250 (multiplicity 4)
Er 0.000 0.089 0.750 (multiplicity 4)
Er 0.000 0.458 0.618 (multiplicity 8)

***

[5]
For Li2Al3Ga4, a DFT-relaxed cell (GGA-PBE, Alexandria) gives the calculated XRD peak list in this record (λ = 1.5418 Å (Cu Kα)).
Peak positions follow from Bragg's law for the DFT cell and can differ from measured ones.

The 6 most intense peaks (2θ = 10–90°), sorted by position:
2θ = 13.38°, intensity 56, hkl 2 0 0
2θ = 18.49°, intensity 100, hkl 0 2 0
2θ = 34.63°, intensity 54, hkl 3 3 0
2θ = 36.26°, intensity 97, hkl 5 1 -1
2θ = 36.45°, intensity 58, hkl 0 0 2
2θ = 40.89°, intensity 56, hkl 4 0 -2

Structural model:
Lattice parameters (Å, degrees): 13.531 9.597 5.039 90.00 101.96 90.00
Space group C2/c (No. 15)
Inequivalent atoms, fractional coordinates:
Li 0.237 0.096 0.093 (multiplicity 8)
Al 0.000 0.002 0.250 (multiplicity 4)
Al 0.092 0.439 0.468 (multiplicity 8)
Ga 0.069 0.258 0.010 (multiplicity 8)
Ga 0.155 0.174 0.558 (multiplicity 8)

***

[6]
For Ir5C7, a DFT-relaxed cell (GGA-PBE, Alexandria) gives the calculated XRD peak list in this record (λ = 1.5418 Å (Cu Kα)).
Peak positions follow from Bragg's law for the DFT cell and can differ from measured ones.

The 6 most intense peaks (2θ = 10–90°), sorted by position:
2θ = 26.25°, intensity 63, hkl 2 0 0
2θ = 32.85°, intensity 82, hkl 0 0 2
2θ = 33.78°, intensity 85, hkl 2 1 1
2θ = 37.46°, intensity 79, hkl 2 2 0
2θ = 43.28°, intensity 100, hkl 3 0 1
2θ = 50.66°, intensity 70, hkl 2 2 2

Structural model:
Lattice parameters (Å, degrees): 6.791 6.791 5.453 90.00 90.00 90.00
Space group I4mm (No. 107)
Inequivalent atoms, fractional coordinates:
Ir 0.000 0.000 0.000 (multiplicity 2)
Ir 0.208 0.208 0.512 (multiplicity 8)
C 0.000 0.000 0.369 (multiplicity 2)
C 0.000 0.304 0.829 (multiplicity 8)
C 0.000 0.500 0.366 (multiplicity 4)

***

[7]
For ZrNpH, a DFT-relaxed cell (GGA-PBE, Alexandria) gives the calculated XRD peak list in this record (λ = 1.5418 Å (Cu Kα)).
Peak positions follow from Bragg's law for the DFT cell and can differ from measured ones.

The 6 most intense peaks (2θ = 10–90°), sorted by position:
2θ = 10.71°, intensity 100, hkl 0 0 1
2θ = 21.51°, intensity 16, hkl 0 0 2
2θ = 32.97°, intensity 25, hkl 2 0 0
2θ = 34.95°, intensity 72, hkl 1 1 -2
2θ = 35.20°, intensity 26, hkl 1 1 2
2θ = 44.51°, intensity 17, hkl 0 2 0

Structural model:
Lattice parameters (Å, degrees): 5.434 4.071 8.262 90.00 90.65 90.00
Space group C2/m (No. 12)
Inequivalent atoms, fractional coordinates:
Zr 0.229 0.000 0.360 (multiplicity 4)
Np 0.191 0.500 0.073 (multiplicity 4)
H 0.165 0.000 0.624 (multiplicity 4)

***

[8]
For CeI4N2, a DFT-relaxed cell (GGA-PBE, Alexandria) gives the calculated XRD peak list in this record (λ = 1.5418 Å (Cu Kα)).
Peak positions follow from Bragg's law for the DFT cell and can differ from measured ones.

The 6 most intense peaks (2θ = 10–90°), sorted by position:
2θ = 11.74°, intensity 90, hkl 0 1 0
2θ = 23.61°, intensity 100, hkl 0 0 2
2θ = 27.52°, intensity 69, hkl 1 1 -1
2θ = 27.68°, intensity 75, hkl 1 -2 0
2θ = 28.17°, intensity 84, hkl 0 2 -2
2θ = 29.64°, intensity 56, hkl 1 0 1

Structural model:
Lattice parameters (Å, degrees): 4.102 8.129 8.135 102.35 104.20 104.32
Space group P-1 (No. 2)
Inequivalent atoms, fractional coordinates:
Ce 0.000 0.000 0.000 (multiplicity 1)
I 0.244 0.732 0.743 (multiplicity 2)
I 0.490 0.225 0.758 (multiplicity 2)
N 0.008 0.830 0.184 (multiplicity 2)